No. 1
Structure and computed XRD peak list of KTcP2Ir (a DFT-relaxed cell (PBE, Alexandria); Cu Kα).
Peak positions follow from Bragg's law for the DFT cell and can differ from measured ones.

Most intense lines, 2θ = 10–90°, most intense first:
- 2θ 13.9, I = 100, hkl 0 0 2
- 2θ 34.3, I = 56, hkl 1 1 2
- 2θ 53.6, I = 39, hkl 1 1 6
- 2θ 42.3, I = 28, hkl 1 1 4
- 2θ 44.7, I = 22, hkl 2 0 0
- 2θ 27.9, I = 21, hkl 0 0 4
- 2θ 47.0, I = 19, hkl 2 0 2
- 2θ 30.4, I = 15, hkl 1 0 3
- 2θ 31.2, I = 13, hkl 1 1 0
- 2θ 23.0, I = 12, hkl 1 0 1

Structural model:
a b c (Å): 4.058 4.058 12.774
angles (deg): 90.00 90.00 90.00
Space group I-4m2 (No. 119)
Asymmetric unit:
K: 0.000 0.000 0.000 (multiplicity 2)
Tc: 0.000 0.500 0.250 (multiplicity 2)
P: 0.000 0.000 0.342 (multiplicity 4)
Ir: 0.000 0.500 0.750 (multiplicity 2)


No. 2
Structure and computed XRD peak list of K3Pu3IrS8 (a DFT-relaxed cell (PBE, Alexandria); Cu Kα).
Peak positions follow from Bragg's law for the DFT cell and can differ from measured ones.

Most intense lines, 2θ = 10–90°, most intense first:
- 2θ 11.8, I = 100, hkl 0 0 1
- 2θ 30.6, I = 68, hkl 4 0 0
- 2θ 26.4, I = 33, hkl 4 0 -1
- 2θ 27.3, I = 33, hkl 2 2 0
- 2θ 38.4, I = 23, hkl 2 2 -3
- 2θ 46.1, I = 22, hkl 0 4 0
- 2θ 47.8, I = 19, hkl 6 2 -3
- 2θ 23.6, I = 18, hkl 0 0 2
- 2θ 41.5, I = 17, hkl 2 2 2
- 2θ 32.9, I = 14, hkl 2 2 1

Structural model:
a b c (Å): 13.648 7.863 8.787
angles (deg): 90.00 121.06 90.00
Space group C2/m (No. 12)
Asymmetric unit:
K: 0.000 0.000 0.000 (multiplicity 2)
K: 0.250 0.250 0.000 (multiplicity 4)
Pu: 0.000 0.500 0.500 (multiplicity 2)
Pu: 0.250 0.250 0.500 (multiplicity 4)
Ir: 0.000 0.000 0.500 (multiplicity 2)
S: 0.014 0.226 0.315 (multiplicity 8)
S: 0.212 0.000 0.683 (multiplicity 4)
S: 0.235 0.500 0.704 (multiplicity 4)


No. 3
Structure and computed XRD peak list of KRb2Ir (a DFT-relaxed cell (PBE, Alexandria); Cu Kα).
Peak positions follow from Bragg's law for the DFT cell and can differ from measured ones.

Most intense lines, 2θ = 10–90°, most intense first:
- 2θ 30.9, I = 100, hkl 2 2 0
- 2θ 55.0, I = 38, hkl 4 2 2
- 2θ 18.8, I = 29, hkl 1 1 1
- 2θ 89.8, I = 20, hkl 6 4 2
- 2θ 44.3, I = 18, hkl 4 0 0
- 2θ 36.4, I = 17, hkl 3 1 1
- 2θ 73.2, I = 16, hkl 6 2 0
- 2θ 64.5, I = 12, hkl 4 4 0
- 2θ 48.5, I = 8, hkl 3 3 1
- 2θ 58.7, I = 6, hkl 5 1 1

Structural model:
a b c (Å): 8.176 8.176 8.176
angles (deg): 90.00 90.00 90.00
Space group Fm-3m (No. 225)
Asymmetric unit:
K: 0.000 0.000 0.000 (multiplicity 4)
Rb: 0.250 0.250 0.250 (multiplicity 8)
Ir: 0.000 0.000 0.500 (multiplicity 4)


No. 4
Structure and computed XRD peak list of KIrRh (a DFT-relaxed cell (PBE, Alexandria); Cu Kα).
Peak positions follow from Bragg's law for the DFT cell and can differ from measured ones.

Most intense lines, 2θ = 10–90°, most intense first:
- 2θ 15.0, I = 100, hkl 0 0 2
- 2θ 39.6, I = 38, hkl 1 1 0
- 2θ 42.5, I = 31, hkl 1 1 2
- 2θ 31.6, I = 28, hkl 0 1 3
- 2θ 30.2, I = 23, hkl 0 0 4
- 2θ 50.6, I = 22, hkl 1 1 4
- 2θ 40.0, I = 15, hkl 1 0 3
- 2θ 44.5, I = 13, hkl 0 2 0
- 2θ 47.3, I = 11, hkl 0 2 2
- 2θ 59.2, I = 11, hkl 0 1 7

Structural model:
a b c (Å): 2.750 4.068 11.822
angles (deg): 90.00 90.00 90.00
Space group Imm2 (No. 44)
Asymmetric unit:
K: 0.000 0.000 0.000 (multiplicity 2)
Ir: 0.000 0.000 0.281 (multiplicity 2)
Rh: 0.000 0.000 0.720 (multiplicity 2)


No. 5
Structure and computed XRD peak list of K2IrRh2Se6 (a DFT-relaxed cell (PBE, Alexandria); Cu Kα).
Peak positions follow from Bragg's law for the DFT cell and can differ from measured ones.

Most intense lines, 2θ = 10–90°, most intense first:
- 2θ 12.0, I = 100, hkl 0 0 1
- 2θ 31.5, I = 75, hkl 1 3 1
- 2θ 39.5, I = 32, hkl 2 0 -3
- 2θ 47.6, I = 29, hkl 0 6 0
- 2θ 49.3, I = 18, hkl 3 3 -2
- 2θ 42.7, I = 14, hkl 2 0 2
- 2θ 53.4, I = 14, hkl 2 0 3
- 2θ 58.3, I = 13, hkl 4 0 0
- 2θ 78.5, I = 10, hkl 4 6 0
- 2θ 27.3, I = 8, hkl 1 3 0

Structural model:
a b c (Å): 6.614 11.452 7.684
angles (deg): 90.00 106.74 90.00
Space group C2/m (No. 12)
Asymmetric unit:
K: 0.000 0.167 0.000 (multiplicity 4)
Ir: 0.000 0.000 0.500 (multiplicity 2)
Rh: 0.000 0.332 0.500 (multiplicity 4)
Se: 0.223 0.165 0.668 (multiplicity 8)
Se: 0.223 0.500 0.669 (multiplicity 4)


No. 6
Structure and computed XRD peak list of KSbIr2 (a DFT-relaxed cell (PBE, Alexandria); Cu Kα).
Peak positions follow from Bragg's law for the DFT cell and can differ from measured ones.

Most intense lines, 2θ = 10–90°, most intense first:
- 2θ 11.3, I = 100, hkl 0 0 1
- 2θ 38.1, I = 33, hkl 1 1 0
- 2θ 31.8, I = 23, hkl 0 1 2
- 2θ 39.9, I = 20, hkl 1 1 1
- 2θ 41.1, I = 16, hkl 0 1 3
- 2θ 44.8, I = 14, hkl 0 2 0
- 2θ 38.6, I = 13, hkl 1 0 2
- 2θ 46.8, I = 11, hkl 1 0 3
- 2θ 66.7, I = 8, hkl 1 2 3
- 2θ 52.2, I = 7, hkl 1 1 3

Structural model:
a b c (Å): 2.905 4.050 7.831
angles (deg): 90.00 90.00 90.00
Space group Pmm2 (No. 25)
Asymmetric unit:
K: 0.000 0.000 0.000 (multiplicity 1)
Sb: 0.500 0.500 0.355 (multiplicity 1)
Ir: 0.000 0.000 0.573 (multiplicity 1)
Ir: 0.500 0.500 0.690 (multiplicity 1)